No. 1
# BaOsC2
Simulated PXRD pattern, copper Kα. Input: a cell relaxed with GGA-PBE.
Neutral-atom scattering factors, no anomalous dispersion.

The 12 most intense peaks (5° ≤ 2θ ≤ 70°), sorted by position:
- (1 0 1), 2θ 18.75, I 7
- (1 1 2), 2θ 28.97, I 100
- (0 0 4), 2θ 31.99, I 17
- (2 0 0), 2θ 34.35, I 32
- (2 1 1), 2θ 39.41, I 1
- (2 1 3), 2θ 45.84, I 1
- (2 0 4), 2θ 47.64, I 26
- (2 2 0), 2θ 49.36, I 10
- (1 1 6), 2θ 55.17, I 17
- (3 1 2), 2θ 58.25, I 28
- (2 2 4), 2θ 60.04, I 14
- (0 0 8), 2θ 66.89, I 3

Cell and atoms:
Lattice parameters (Å, degrees): 5.2221 5.2221 11.1898 90.00 90.00 90.00
Space group I4_1/amd (No. 141, origin choice 2)
One atom of each set of equivalent atoms:
Ba: 0.0000 0.2500 0.3750 [4 per cell]
Os: 0.0000 0.2500 0.8750 [4 per cell]
C: 0.0000 0.0000 0.0000 [8 per cell]

***

No. 2
# Nd4Dy3Tm4
Simulated PXRD pattern, copper Kα. Input: a cell relaxed with GGA-PBE.
Neutral-atom scattering factors, no anomalous dispersion.

The 9 most intense peaks (5° ≤ 2θ ≤ 70°), sorted by position:
- (10 0 1), 2θ 30.66, I 100
- (11 1 0), 2θ 35.49, I 34
- (2 0 -2), 2θ 35.66, I 17
- (0 2 0), 2θ 51.02, I 6
- (9 1 2), 2θ 51.18, I 30
- (10 2 1), 2θ 60.75, I 29
- (8 0 3), 2θ 60.97, I 14
- (2 2 -2), 2θ 63.80, I 6
- (20 0 2), 2θ 63.87, I 6

Cell and atoms:
Lattice parameters (Å, degrees): 39.6373 3.5800 5.0356 90.00 97.29 90.00
Space group C2/m (No. 12)
One atom of each set of equivalent atoms:
Nd: 0.0460 0.0000 0.0454 [4 per cell]
Nd: 0.1823 0.5000 0.6821 [4 per cell]
Dy: 0.0000 0.5000 0.5000 [2 per cell]
Dy: 0.1364 0.0000 0.1358 [4 per cell]
Tm: 0.0919 0.5000 0.5912 [4 per cell]
Tm: 0.2278 0.0000 0.2278 [4 per cell]

***

No. 3
# LiSnAsBr
Simulated PXRD pattern, copper Kα. Input: a cell relaxed with GGA-PBE.
Neutral-atom scattering factors, no anomalous dispersion.

The 12 most intense peaks (5° ≤ 2θ ≤ 70°), sorted by position:
- (0 0 1), 2θ 12.11, I 39
- (0 0 2), 2θ 24.35, I 31
- (1 0 -1), 2θ 27.89, I 100
- (0 1 -1), 2θ 27.94, I 58
- (0 1 2), 2θ 35.11, I 23
- (1 0 2), 2θ 35.24, I 23
- (1 1 -2), 2θ 35.31, I 23
- (1 -1 0), 2θ 44.09, I 35
- (2 1 0), 2θ 44.20, I 17
- (1 1 3), 2θ 45.02, I 13
- (1 0 -3), 2θ 45.09, I 13
- (0 1 -3), 2θ 45.22, I 13

Cell and atoms:
Lattice parameters (Å, degrees): 4.0986 4.1056 7.3102 89.67 89.91 60.12
Space group P1 (No. 1)
One atom of each set of equivalent atoms:
Li: 0.0000 0.0000 0.0000 [1 per cell]
Sn: 0.0019 0.9822 0.5168 [1 per cell]
As: 0.3356 0.3145 0.6920 [1 per cell]
Br: 0.6675 0.6630 0.1279 [1 per cell]

***

No. 4
# CdInW
Simulated PXRD pattern, copper Kα. Input: a cell relaxed with GGA-PBE.
Neutral-atom scattering factors, no anomalous dispersion.

The 12 most intense peaks (5° ≤ 2θ ≤ 70°), sorted by position:
- (0 0 1), 2θ 6.53, I 100
- (0 0 2), 2θ 13.09, I 12
- (1 0 -2), 2θ 31.80, I 9
- (1 0 2), 2θ 34.14, I 10
- (0 1 3), 2θ 34.27, I 71
- (1 0 3), 2θ 37.85, I 27
- (1 0 -4), 2θ 38.46, I 11
- (0 1 4), 2θ 38.65, I 13
- (0 0 6), 2θ 39.98, I 11
- (1 1 0), 2θ 41.48, I 46
- (0 2 0), 2θ 57.36, I 10
- (1 1 6), 2θ 61.15, I 13

Cell and atoms:
Lattice parameters (Å, degrees): 2.9777 3.2127 13.5902 90.00 95.38 90.00
Space group Pm (No. 6)
One atom of each set of equivalent atoms:
Cd: 0.0000 0.0000 0.0000 [1 per cell]
Cd: 0.0243 0.0000 0.3707 [1 per cell]
In: 0.4928 0.5000 0.1887 [1 per cell]
In: 0.8146 0.5000 0.8034 [1 per cell]
W: 0.2736 0.0000 0.6466 [1 per cell]
W: 0.5675 0.5000 0.5270 [1 per cell]

***

No. 5
# AcNd6DyHo2
Simulated PXRD pattern, copper Kα. Input: a cell relaxed with GGA-PBE.
Neutral-atom scattering factors, no anomalous dispersion.

The 12 most intense peaks (5° ≤ 2θ ≤ 70°), sorted by position:
- (1 3 2), 2θ 27.60, I 100
- (3 1 -1), 2θ 29.70, I 68
- (0 2 3), 2θ 29.91, I 76
- (2 2 2), 2θ 30.14, I 90
- (1 5 0), 2θ 30.41, I 58
- (2 4 -1), 2θ 30.77, I 54
- (1 5 -1), 2θ 31.52, I 42
- (1 3 -3), 2θ 33.22, I 52
- (2 2 -3), 2θ 34.02, I 23
- (4 2 -4), 2θ 52.76, I 19
- (4 0 4), 2θ 57.40, I 29
- (2 0 -6), 2θ 58.35, I 25

Cell and atoms:
Lattice parameters (Å, degrees): 9.4182 15.4771 9.7682 90.00 95.92 90.00
Space group C2/c (No. 15)
One atom of each set of equivalent atoms:
Ac: 0.0000 0.0285 0.2500 [4 per cell]
Nd: 0.0622 0.1837 0.9460 [8 per cell]
Nd: 0.0991 0.3904 0.1181 [8 per cell]
Nd: 0.2189 0.2269 0.3167 [8 per cell]
Dy: 0.0000 0.4122 0.7500 [4 per cell]
Ho: 0.2414 0.4461 0.4523 [8 per cell]

***

No. 6
# CePa2Ni9
Simulated PXRD pattern, copper Kα. Input: a cell relaxed with GGA-PBE.
Neutral-atom scattering factors, no anomalous dispersion.

The 12 most intense peaks (5° ≤ 2θ ≤ 70°), sorted by position:
- (0 0 2), 2θ 10.73, I 23
- (0 0 4), 2θ 21.56, I 10
- (1 0 4), 2θ 30.19, I 10
- (1 0 5), 2θ 34.41, I 74
- (1 1 0), 2θ 36.57, I 51
- (2 0 0), 2θ 42.48, I 12
- (1 1 4), 2θ 42.85, I 100
- (0 0 8), 2θ 43.94, I 31
- (2 0 3), 2θ 45.72, I 24
- (2 1 5), 2θ 64.45, I 25
- (2 0 9), 2θ 67.46, I 15
- (1 1 10), 2θ 68.54, I 12

Cell and atoms:
Lattice parameters (Å, degrees): 4.9140 4.9140 16.4866 90.00 90.00 120.00
Space group P6_3/mmc (No. 194)
One atom of each set of equivalent atoms:
Ce: 0.3333 0.6667 0.2500 [2 per cell]
Pa: 0.3333 0.6667 0.0400 [4 per cell]
Ni: 0.0000 0.0000 0.0000 [2 per cell]
Ni: 0.0000 0.0000 0.2500 [2 per cell]
Ni: 0.1667 0.3334 0.6253 [12 per cell]
Ni: 0.3333 0.6667 0.7500 [2 per cell]

***

No. 7
# Hf3Ga2Ni6
Simulated PXRD pattern, copper Kα. Input: a cell relaxed with GGA-PBE.
Neutral-atom scattering factors, no anomalous dispersion.

The 12 most intense peaks (5° ≤ 2θ ≤ 70°), sorted by position:
- (2 1 1), 2θ 25.52, I 24
- (2 2 0), 2θ 29.55, I 4
- (3 1 0), 2θ 33.13, I 35
- (2 2 2), 2θ 36.40, I 67
- (3 2 1), 2θ 39.43, I 37
- (4 0 0), 2θ 42.28, I 32
- (3 3 0), 2θ 44.98, I 100
- (5 2 1), 2θ 59.19, I 23
- (4 4 0), 2θ 61.34, I 15
- (4 3 3), 2θ 63.44, I 13
- (6 0 0), 2θ 65.50, I 7
- (5 3 2), 2θ 67.54, I 19

Cell and atoms:
Lattice parameters (Å, degrees): 8.5499 8.5499 8.5499 90.00 90.00 90.00
Space group Im-3m (No. 229)
One atom of each set of equivalent atoms:
Hf: 0.0000 0.0000 0.2778 [12 per cell]
Ga: 0.2500 0.2500 0.2500 [8 per cell]
Ni: 0.0000 0.3444 0.3444 [24 per cell]

***

No. 8
# PrZn2SiIr
Simulated PXRD pattern, copper Kα. Input: a cell relaxed with GGA-PBE.
Neutral-atom scattering factors, no anomalous dispersion.

The 12 most intense peaks (5° ≤ 2θ ≤ 70°), sorted by position:
- (1 0 1), 2θ 23.82, I 20
- (0 1 3), 2θ 32.56, I 26
- (0 0 4), 2θ 33.08, I 15
- (1 0 3), 2θ 33.51, I 11
- (1 1 2), 2θ 35.07, I 100
- (0 2 0), 2θ 42.61, I 21
- (2 0 0), 2θ 45.58, I 17
- (1 1 4), 2θ 45.83, I 12
- (1 0 5), 2θ 47.80, I 10
- (2 1 3), 2θ 57.13, I 11
- (1 1 6), 2θ 60.38, I 15
- (2 2 0), 2θ 64.14, I 14

Cell and atoms:
Lattice parameters (Å, degrees): 3.9806 4.2436 10.8307 90.00 90.00 90.00
Space group Imm2 (No. 44)
One atom of each set of equivalent atoms:
Pr: 0.0000 0.0000 0.0000 [2 per cell]
Zn: 0.0000 0.0000 0.6166 [2 per cell]
Zn: 0.0000 0.5000 0.2573 [2 per cell]
Si: 0.0000 0.0000 0.3840 [2 per cell]
Ir: 0.0000 0.5000 0.7616 [2 per cell]

***

No. 9
# Si5H8Cl4
Simulated PXRD pattern, copper Kα. Input: a cell relaxed with GGA-PBE.
Neutral-atom scattering factors, no anomalous dispersion.

The 12 most intense peaks (5° ≤ 2θ ≤ 70°), sorted by position:
- (1 1 0), 2θ 13.36, I 24
- (1 0 1), 2θ 15.40, I 32
- (2 0 0), 2θ 18.94, I 25
- (0 0 2), 2θ 24.47, I 76
- (1 1 2), 2θ 27.95, I 10
- (3 0 1), 2θ 31.13, I 100
- (2 3 1), 2θ 36.70, I 13
- (3 0 3), 2θ 47.41, I 11
- (3 3 2), 2θ 48.17, I 9
- (5 0 1), 2θ 50.25, I 28
- (4 1 3), 2θ 55.35, I 8
- (5 3 0), 2θ 57.32, I 9

Cell and atoms:
Lattice parameters (Å, degrees): 9.3727 9.3727 7.2868 90.00 90.00 90.00
Space group I-4 (No. 82)
One atom of each set of equivalent atoms:
Si: 0.0000 0.0000 0.0000 [2 per cell]
Si: 0.0679 0.1883 0.8032 [8 per cell]
H: 0.0087 0.1671 0.6156 [8 per cell]
H: 0.0284 0.3317 0.8753 [8 per cell]
Cl: 0.1864 0.7105 0.2277 [8 per cell]